Starting from a GGA-PBE-relaxed structure, the powder diffractogram of Tl2BiAu9 was computed for Cu Kα (weighted mean of Kα1 and Kα2).

Main lines, low angle first (2θ = 10–90°):
d/Å  2θ/deg  I (rel.)
2.876  31.1  23
2.819  31.7  27
2.433  36.9  34
2.424  37.1  100
2.373  37.9  25
2.287  39.4  21
2.244  40.2  44
1.540  60.1  25
1.410  66.3  32
1.212  79.0  19

Atomic structure:
```
data_Tl2BiAu9
_cell_length_a 10.034
_cell_length_b 10.034
_cell_length_c 10.034
_cell_angle_alpha 32.64
_cell_angle_beta 32.64
_cell_angle_gamma 32.64
_space_group_name_H-M_alt 'P 1'
_space_group_IT_number 1
loop_
_space_group_symop_operation_xyz
'x,y,z'
loop_
_atom_site_label
_atom_site_type_symbol
_atom_site_fract_x
_atom_site_fract_y
_atom_site_fract_z
Tl1 Tl 0.136 0.136 0.136
Tl2 Tl 0.864 0.864 0.864
Bi1 Bi 0.000 0.000 0.000
Au1 Au 0.082 0.584 0.584
Au2 Au 0.332 0.332 0.332
Au3 Au 0.416 0.416 0.918
Au4 Au 0.416 0.918 0.416
Au5 Au 0.500 0.500 0.500
Au6 Au 0.584 0.082 0.584
Au7 Au 0.584 0.584 0.082
Au8 Au 0.668 0.668 0.668
Au9 Au 0.918 0.416 0.416
```


Starting from a GGA-PBE-relaxed structure, the powder diffractogram of Tl4BiAu3 was computed for Cu Kα (weighted mean of Kα1 and Kα2).

Main lines, low angle first (2θ = 10–90°):
d/Å  2θ/deg  I (rel.)
3.234  27.6  27
3.058  29.2  80
2.867  31.2  100
2.856  31.3  49
2.779  32.2  38
2.526  35.5  35
2.404  37.4  58
2.346  38.4  29
2.180  41.4  33
2.128  42.5  29

Atomic structure:
```
data_Tl4BiAu3
_cell_length_a 7.296
_cell_length_b 7.296
_cell_length_c 11.118
_cell_angle_alpha 113.09
_cell_angle_beta 113.09
_cell_angle_gamma 57.16
_space_group_name_H-M_alt 'P 1'
_space_group_IT_number 1
loop_
_space_group_symop_operation_xyz
'x,y,z'
loop_
_atom_site_label
_atom_site_type_symbol
_atom_site_fract_x
_atom_site_fract_y
_atom_site_fract_z
Tl1 Tl 0.086 0.914 0.500
Tl2 Tl 0.171 0.433 0.679
Tl3 Tl 0.317 0.844 0.815
Tl4 Tl 0.433 0.171 0.179
Tl5 Tl 0.526 0.922 0.449
Tl6 Tl 0.844 0.317 0.315
Tl7 Tl 0.914 0.086 0.000
Tl8 Tl 0.922 0.526 0.949
Bi1 Bi 0.444 0.633 0.068
Bi2 Bi 0.633 0.444 0.568
Au1 Au 0.120 0.807 0.215
Au2 Au 0.222 0.414 0.416
Au3 Au 0.414 0.222 0.916
Au4 Au 0.703 0.828 0.749
Au5 Au 0.807 0.120 0.715
Au6 Au 0.828 0.703 0.249
```


Starting from a GGA-PBE-relaxed structure, the powder diffractogram of Tl5Bi4Au4 was computed for Cu Kα (weighted mean of Kα1 and Kα2).

Main lines, low angle first (2θ = 10–90°):
d/Å  2θ/deg  I (rel.)
3.070  29.1  15
2.837  31.5  11
2.764  32.4  100
2.534  35.4  27
2.488  36.1  27
2.233  40.4  22
1.662  55.3  16
1.623  56.7  15
1.371  68.4  12
1.315  71.8  9

Atomic structure:
```
data_Tl5Bi4Au4
_cell_length_a 9.244
_cell_length_b 9.244
_cell_length_c 9.244
_cell_angle_alpha 93.35
_cell_angle_beta 93.35
_cell_angle_gamma 152.04
_space_group_name_H-M_alt 'P 1'
_space_group_IT_number 1
loop_
_space_group_symop_operation_xyz
'x,y,z'
loop_
_atom_site_label
_atom_site_type_symbol
_atom_site_fract_x
_atom_site_fract_y
_atom_site_fract_z
Tl1 Tl 0.000 0.000 0.000
Tl2 Tl 0.308 0.624 0.933
Tl3 Tl 0.376 0.308 0.684
Tl4 Tl 0.624 0.692 0.316
Tl5 Tl 0.692 0.376 0.067
Bi1 Bi 0.113 0.403 0.515
Bi2 Bi 0.403 0.887 0.290
Bi3 Bi 0.597 0.113 0.710
Bi4 Bi 0.887 0.597 0.485
Au1 Au 0.067 0.768 0.835
Au2 Au 0.232 0.067 0.299
Au3 Au 0.768 0.933 0.701
Au4 Au 0.933 0.232 0.165
```


Starting from a GGA-PBE-relaxed structure, the powder diffractogram of Tl5BiAu3 was computed for Cu Kα (weighted mean of Kα1 and Kα2).

Main lines, low angle first (2θ = 10–90°):
d/Å  2θ/deg  I (rel.)
4.076  21.8  15
4.029  22.1  16
3.494  25.5  11
2.488  36.1  100
2.449  36.7  19
1.747  52.4  14
1.443  64.6  7
1.438  64.8  15
1.421  65.7  14
1.243  76.6  9

Atomic structure:
```
data_Tl5BiAu3
_cell_length_a 8.629
_cell_length_b 8.629
_cell_length_c 9.797
_cell_angle_alpha 106.50
_cell_angle_beta 106.50
_cell_angle_gamma 48.45
_space_group_name_H-M_alt 'P 1'
_space_group_IT_number 1
loop_
_space_group_symop_operation_xyz
'x,y,z'
loop_
_atom_site_label
_atom_site_type_symbol
_atom_site_fract_x
_atom_site_fract_y
_atom_site_fract_z
Tl1 Tl 0.080 0.584 0.908
Tl2 Tl 0.090 0.570 0.422
Tl3 Tl 0.237 0.763 0.750
Tl4 Tl 0.416 0.920 0.592
Tl5 Tl 0.430 0.910 0.078
Tl6 Tl 0.570 0.090 0.922
Tl7 Tl 0.584 0.080 0.408
Tl8 Tl 0.763 0.237 0.250
Tl9 Tl 0.910 0.430 0.578
Tl10 Tl 0.920 0.416 0.092
Bi1 Bi 0.268 0.732 0.250
Bi2 Bi 0.732 0.268 0.750
Au1 Au 0.148 0.179 0.832
Au2 Au 0.179 0.148 0.332
Au3 Au 0.500 0.500 0.000
Au4 Au 0.500 0.500 0.500
Au5 Au 0.821 0.852 0.668
Au6 Au 0.852 0.821 0.168
```